Entry 1:
Calculated XRD peak list of In2HgTe4 for Cu Kα (weighted mean of Kα1 and Kα2), from a cell relaxed with GGA-PBE.

Largest 12 diffraction maxima, in order of falling intensity, 10° ≤ 2θ ≤ 90°:
| 2theta | I/Imax |
| --- | --- |
| 24.20 | 100 |
| 40.09 | 49 |
| 47.23 | 29 |
| 39.92 | 25 |
| 47.52 | 14 |
| 72.60 | 14 |
| 63.75 | 11 |
| 32.12 | 11 |
| 31.36 | 10 |
| 57.73 | 8 |
| 25.27 | 7 |
| 19.65 | 7 |

Atomic structure:
```
In2HgTe4
1.0
-3.194 3.194 6.337
3.194 -3.194 6.337
3.194 3.194 -6.337
In Hg Te
2 1 4
Direct
0.000 0.000 0.000
0.750 0.250 0.500
0.250 0.750 0.500
0.160 0.165 0.549
0.389 0.840 0.006
0.616 0.611 0.451
0.835 0.384 0.994
```


Entry 2:
Calculated XRD peak list of In2Hg5Te8 for Cu Kα (weighted mean of Kα1 and Kα2), from a cell relaxed with GGA-PBE.

Largest 12 diffraction maxima, in order of falling intensity, 10° ≤ 2θ ≤ 90°:
| 2theta | I/Imax |
| --- | --- |
| 23.68 | 100 |
| 39.23 | 50 |
| 46.14 | 29 |
| 39.00 | 25 |
| 46.54 | 15 |
| 70.81 | 13 |
| 62.30 | 11 |
| 35.73 | 8 |
| 56.34 | 7 |
| 75.70 | 7 |
| 71.27 | 7 |
| 53.97 | 6 |

Atomic structure:
```
In2Hg5Te8
1.0
-4.619 4.619 6.458
4.619 -4.619 6.458
4.619 4.619 -6.458
In Hg Te
2 5 8
Direct
0.246 0.246 0.000
0.754 0.754 0.000
0.228 0.228 0.456
0.228 0.772 0.000
0.250 0.750 0.500
0.772 0.228 0.000
0.772 0.772 0.544
0.372 0.620 0.752
0.380 0.132 0.752
0.380 0.628 0.248
0.413 0.142 0.271
0.858 0.129 0.271
0.858 0.587 0.729
0.868 0.620 0.248
0.871 0.142 0.729
```


Entry 3:
Calculated XRD peak list of In3HgTe4 for Cu Kα (weighted mean of Kα1 and Kα2), from a cell relaxed with GGA-PBE.

Largest 12 diffraction maxima, in order of falling intensity, 10° ≤ 2θ ≤ 90°:
| 2theta | I/Imax |
| --- | --- |
| 28.77 | 100 |
| 40.84 | 77 |
| 28.36 | 52 |
| 50.72 | 41 |
| 41.14 | 38 |
| 74.76 | 25 |
| 66.63 | 17 |
| 67.28 | 17 |
| 67.49 | 17 |
| 74.15 | 13 |
| 59.58 | 13 |
| 88.49 | 8 |

Atomic structure:
```
In3HgTe4
1.0
6.206 0.000 0.000
0.000 12.589 0.000
0.000 0.000 6.207
In Hg Te
6 2 8
Direct
0.250 0.000 0.250
0.250 0.250 0.750
0.250 0.500 0.250
0.750 0.000 0.750
0.750 0.500 0.750
0.750 0.750 0.250
0.250 0.750 0.749
0.750 0.250 0.251
0.250 0.007 0.750
0.250 0.250 0.250
0.250 0.493 0.750
0.250 0.750 0.250
0.750 0.250 0.750
0.750 0.507 0.250
0.750 0.750 0.750
0.750 0.993 0.250
```


Entry 4:
Calculated XRD peak list of InHg2Te for Cu Kα (weighted mean of Kα1 and Kα2), from a cell relaxed with GGA-PBE.

Largest 12 diffraction maxima, in order of falling intensity, 10° ≤ 2θ ≤ 90°:
| 2theta | I/Imax |
| --- | --- |
| 30.56 | 100 |
| 33.82 | 82 |
| 28.48 | 55 |
| 40.75 | 23 |
| 40.99 | 23 |
| 50.67 | 23 |
| 59.18 | 16 |
| 50.55 | 12 |
| 50.38 | 11 |
| 67.91 | 10 |
| 49.57 | 10 |
| 66.90 | 10 |

Atomic structure:
```
InHg2Te
1.0
4.428 0.000 0.000
0.000 4.404 0.000
-2.172 0.000 12.536
In Hg Te
2 4 2
Direct
0.198 0.250 0.392
0.802 0.750 0.608
0.057 0.750 0.122
0.449 0.750 0.890
0.551 0.250 0.110
0.943 0.250 0.878
0.316 0.250 0.636
0.684 0.750 0.364
```


Entry 5:
Calculated XRD peak list of In4HgTe for Cu Kα (weighted mean of Kα1 and Kα2), from a cell relaxed with GGA-PBE.

Largest 12 diffraction maxima, in order of falling intensity, 10° ≤ 2θ ≤ 90°:
| 2theta | I/Imax |
| --- | --- |
| 30.69 | 100 |
| 37.43 | 48 |
| 34.79 | 38 |
| 29.48 | 25 |
| 64.08 | 24 |
| 34.33 | 24 |
| 67.40 | 23 |
| 46.23 | 15 |
| 59.84 | 15 |
| 32.99 | 14 |
| 51.95 | 14 |
| 42.18 | 13 |

Atomic structure:
```
In4HgTe
1.0
5.157 0.000 0.000
0.000 6.324 0.000
-0.003 0.000 10.593
In Hg Te
8 2 2
Direct
0.249 0.000 0.099
0.250 0.018 0.733
0.250 0.262 0.406
0.250 0.765 0.418
0.750 0.265 0.582
0.750 0.518 0.267
0.750 0.762 0.594
0.751 0.500 0.901
0.250 0.515 0.733
0.750 0.015 0.267
0.250 0.501 0.085
0.750 0.001 0.915
```


Entry 6:
Calculated XRD peak list of In6Hg12Te for Cu Kα (weighted mean of Kα1 and Kα2), from a cell relaxed with GGA-PBE.

Largest 12 diffraction maxima, in order of falling intensity, 10° ≤ 2θ ≤ 90°:
| 2theta | I/Imax |
| --- | --- |
| 34.17 | 100 |
| 33.41 | 69 |
| 33.49 | 58 |
| 30.62 | 45 |
| 36.50 | 30 |
| 26.30 | 26 |
| 36.59 | 22 |
| 59.54 | 19 |
| 51.92 | 19 |
| 30.87 | 17 |
| 37.20 | 13 |
| 18.05 | 11 |

Atomic structure:
```
In6Hg12Te
1.0
8.226 0.000 0.000
-1.114 8.154 0.000
-1.133 -1.319 8.048
In Hg Te
6 12 1
Direct
0.112 0.161 0.112
0.113 0.613 0.660
0.339 0.388 0.888
0.661 0.612 0.112
0.887 0.387 0.340
0.888 0.839 0.888
0.106 0.860 0.360
0.237 0.000 0.762
0.237 0.262 0.500
0.360 0.860 0.105
0.361 0.606 0.360
0.500 0.262 0.238
0.500 0.738 0.762
0.639 0.394 0.640
0.640 0.140 0.895
0.763 0.000 0.238
0.763 0.738 0.500
0.894 0.140 0.640
0.000 0.500 0.000
```